(1)
The following is a calculated powder XRD pattern of Dy2Ga3Fe14C2. It was derived from a structure optimized by DFT (GGA-PBE), using Cu Kα (weighted mean of Kα1 and Kα2).
Peak positions follow from Bragg's law for the DFT cell and can differ from measured ones.

Most intense lines, 10 to 80 degrees two-theta, in order of rising 2θ:
29.84°, I 45
29.98°, I 20
31.10°, I 19
36.26°, I 38
37.70°, I 22
41.83°, I 73
42.09°, I 23
42.25°, I 58
42.48°, I 100
43.21°, I 22
43.56°, I 48
43.67°, I 22

Structural model:
```
data_Dy2Ga3Fe14C2
_space_group_name_H-M_alt 'C 1 2/m 1'
_space_group_IT_number 12
_space_group_name_Hall '-C 2y'
_cell_length_a 9.717
_cell_length_b 8.556
_cell_length_c 6.492
_cell_angle_alpha 90.00
_cell_angle_beta 98.60
_cell_angle_gamma 90.00
loop_
_atom_site_label
_atom_site_type_symbol
_atom_site_fract_x
_atom_site_fract_y
_atom_site_fract_z
Dy1 Dy 0.152 0.000 0.338
Ga1 Ga 0.000 0.500 0.500
Ga2 Ga 0.250 0.250 0.000
Fe1 Fe 0.000 0.208 0.000
Fe2 Fe 0.093 0.500 0.904
Fe3 Fe 0.098 0.251 0.656
Fe4 Fe 0.143 0.356 0.286
Fe5 Fe 0.153 0.000 0.848
C1 C 0.250 0.250 0.500
```

***

(2)
The following is a calculated powder XRD pattern of Dy2Fe15Si2C. It was derived from a structure optimized by DFT (GGA-PBE), using Cu Kα (weighted mean of Kα1 and Kα2).
Peak positions follow from Bragg's law for the DFT cell and can differ from measured ones.

Most intense lines, 10 to 80 degrees two-theta, in order of rising 2θ:
25.41°, I 15
30.07°, I 34
30.15°, I 17
33.23°, I 19
36.91°, I 40
37.87°, I 21
42.88°, I 88
43.01°, I 100
43.28°, I 43
43.64°, I 13
62.40°, I 17
62.64°, I 16

Structural model:
```
data_Dy2Fe15Si2C
_space_group_name_H-M_alt 'C 1 2/m 1'
_space_group_IT_number 12
_space_group_name_Hall '-C 2y'
_cell_length_a 9.701
_cell_length_b 8.425
_cell_length_c 6.408
_cell_angle_alpha 90.00
_cell_angle_beta 100.27
_cell_angle_gamma 90.00
loop_
_atom_site_label
_atom_site_type_symbol
_atom_site_fract_x
_atom_site_fract_y
_atom_site_fract_z
Dy1 Dy 0.156 0.000 0.352
Fe1 Fe 0.000 0.220 0.000
Fe2 Fe 0.000 0.500 0.500
Fe3 Fe 0.092 0.255 0.659
Fe4 Fe 0.152 0.350 0.302
Fe5 Fe 0.155 0.000 0.851
Fe6 Fe 0.250 0.250 0.000
Si1 Si 0.102 0.500 0.900
C1 C 0.000 0.000 0.000
```

***

- Which formula does entry 2 have?
  Dy2Fe15Si2C

***

What did the second record say?
The following is a calculated powder XRD pattern of Dy2Fe15Si2C. It was derived from a structure optimized by DFT (GGA-PBE), using Cu Kα (weighted mean of Kα1 and Kα2).
Peak positions follow from Bragg's law for the DFT cell and can differ from measured ones.

Most intense lines, 10 to 80 degrees two-theta, in order of rising 2θ:
25.41°, I 15
30.07°, I 34
30.15°, I 17
33.23°, I 19
36.91°, I 40
37.87°, I 21
42.88°, I 88
43.01°, I 100
43.28°, I 43
43.64°, I 13
62.40°, I 17
62.64°, I 16

Structural model:
```
data_Dy2Fe15Si2C
_space_group_name_H-M_alt 'C 1 2/m 1'
_space_group_IT_number 12
_space_group_name_Hall '-C 2y'
_cell_length_a 9.701
_cell_length_b 8.425
_cell_length_c 6.408
_cell_angle_alpha 90.00
_cell_angle_beta 100.27
_cell_angle_gamma 90.00
loop_
_atom_site_label
_atom_site_type_symbol
_atom_site_fract_x
_atom_site_fract_y
_atom_site_fract_z
Dy1 Dy 0.156 0.000 0.352
Fe1 Fe 0.000 0.220 0.000
Fe2 Fe 0.000 0.500 0.500
Fe3 Fe 0.092 0.255 0.659
Fe4 Fe 0.152 0.350 0.302
Fe5 Fe 0.155 0.000 0.851
Fe6 Fe 0.250 0.250 0.000
Si1 Si 0.102 0.500 0.900
C1 C 0.000 0.000 0.000
```